Starting from a structure optimized by DFT (GGA+U), the powder diffractogram of Fe10O9F11 was calculated for Cu Kα.
No peak broadening, texture or thermal motion is included.

Crystal structure
```
data_Fe10O9F11
_chemical_formula_sum 'Fe20 O18 F22'
_symmetry_space_group_name_H-M 'A m m 2'
_symmetry_Int_Tables_number 38
_symmetry_space_group_name_Hall 'A 2 -2'
_cell_length_a 15.203
_cell_length_b 7.101
_cell_length_c 6.310
_cell_angle_alpha 90.00
_cell_angle_beta 90.00
_cell_angle_gamma 90.00
loop_
_atom_site_label
_atom_site_fract_x
_atom_site_fract_y
_atom_site_fract_z
Fe1 0.000 0.000 0.000
Fe2 0.102 0.000 0.500
Fe3 0.198 0.000 0.000
Fe4 0.299 0.000 0.498
Fe5 0.392 0.000 0.993
Fe6 0.500 0.000 0.528
O1 0.101 0.000 0.197
O2 0.101 0.000 0.803
O3 0.294 0.000 0.798
O4 0.296 0.000 0.199
O5 0.500 0.000 0.833
F1 0.000 0.192 0.500
F2 0.200 0.190 0.498
F3 0.393 0.200 0.503
F4 0.500 0.000 0.215
```

Main lines, in order of rising 2θ (15° ≤ 2θ ≤ 90°):
| 2θ/deg | Rel. int. |
| --- | --- |
| 25.1 | 100.0 |
| 28.3 | 82.6 |
| 35.1 | 92.4 |
| 38.2 | 16.0 |
| 39.0 | 15.8 |
| 41.2 | 13.5 |
| 51.0 | 66.2 |
| 51.5 | 20.0 |
| 54.6 | 44.7 |
| 58.5 | 13.7 |
| 60.9 | 14.8 |
| 67.0 | 48.2 |